Entry 1:
Diffraction record for AgBr3. The XRD peak list is theoretical, not measured: it uses a cell relaxed with GGA-PBE and a wavelength of 1.5418 Å.

The 10 most intense peaks (2θ = 15–90°), in order of falling intensity:
| two_theta | I (rel.) | index |
| --- | --- | --- |
| 17.67 | 100 | 2 0 0 |
| 40.17 | 63 | 4 2 0 |
| 18.51 | 61 | 1 0 1 |
| 35.24 | 56 | 1 1 2 |
| 43.75 | 56 | 3 1 2 |
| 35.77 | 42 | 4 0 0 |
| 25.69 | 42 | 2 1 1 |
| 28.11 | 32 | 3 1 0 |
| 51.09 | 29 | 3 3 2 |
| 57.74 | 29 | 5 1 2 |

Crystal structure
```
data_AgBr3
_chemical_formula_sum 'Ag4 Br12'
_cell_length_a 10.0399
_cell_length_b 10.0399
_cell_length_c 5.4567
_cell_angle_alpha 90.00
_cell_angle_beta 90.00
_cell_angle_gamma 90.00
_space_group_name_H-M_alt 'I -4 2 d'
_space_group_IT_number 122
_space_group_name_Hall 'I -4 2bw'
loop_
_atom_site_label
_atom_site_fract_x
_atom_site_fract_y
_atom_site_fract_z
Ag1 0.0000 0.0000 0.0000
Br1 0.0000 0.0000 0.5000
Br2 0.0711 0.2500 0.1250
```

---

Entry 2:
Diffraction record for Cs8K4Hg. The XRD peak list is theoretical, not measured: it uses a cell relaxed with GGA-PBE and a wavelength of 1.5418 Å.

The 10 most intense peaks (2θ = 15–90°), in order of falling intensity:
| two_theta | I (rel.) | index |
| --- | --- | --- |
| 20.92 | 100 | 1 1 3 |
| 34.80 | 49 | 2 0 6 |
| 23.72 | 38 | 0 2 0 |
| 23.80 | 35 | 2 0 0 |
| 25.06 | 29 | 0 0 6 |
| 33.86 | 28 | 2 2 0 |
| 42.58 | 27 | 2 2 6 |
| 61.18 | 19 | 4 2 6 |
| 40.08 | 18 | 1 3 3 |
| 41.76 | 17 | 1 1 9 |

Crystal structure
```
data_Cs8K4Hg
_chemical_formula_sum 'Cs8 K4 Hg1'
_cell_length_a 7.4783
_cell_length_b 7.5007
_cell_length_c 21.3230
_cell_angle_alpha 90.00
_cell_angle_beta 90.00
_cell_angle_gamma 90.00
_space_group_name_H-M_alt 'P m m 2'
_space_group_IT_number 25
_space_group_name_Hall 'P 2 -2'
loop_
_atom_site_label
_atom_site_fract_x
_atom_site_fract_y
_atom_site_fract_z
Cs1 0.0000 0.0000 0.0000
Cs2 0.0000 0.0000 0.3247
Cs3 0.0000 0.5000 0.1570
Cs4 0.0000 0.5000 0.8275
Cs5 0.5000 0.0000 0.4908
Cs6 0.5000 0.0000 0.8286
Cs7 0.5000 0.5000 0.3229
Cs8 0.5000 0.5000 0.6562
K1 0.0000 0.0000 0.6567
K2 0.0000 0.5000 0.5061
K3 0.5000 0.0000 0.1549
K4 0.5000 0.5000 0.0004
Hg1 0.0000 0.5000 0.3394
```

---

Entry 3:
Diffraction record for Th4Cu6Sn7. The XRD peak list is theoretical, not measured: it uses a cell relaxed with GGA-PBE and a wavelength of 1.5418 Å.

The 10 most intense peaks (2θ = 15–90°), in order of falling intensity:
| two_theta | I (rel.) | index |
| --- | --- | --- |
| 33.86 | 100 | 1 1 4 |
| 40.86 | 48 | 2 0 0 |
| 33.73 | 40 | 1 0 6 |
| 69.93 | 30 | 3 1 4 |
| 22.01 | 25 | 1 0 2 |
| 53.99 | 21 | 2 1 6 |
| 59.17 | 16 | 2 2 0 |
| 50.15 | 15 | 1 0 10 |
| 66.60 | 13 | 2 1 10 |
| 29.98 | 12 | 1 1 2 |

Crystal structure
```
data_Th4Cu6Sn7
_chemical_formula_sum 'Th4 Cu6 Sn7'
_cell_length_a 4.4166
_cell_length_b 4.4166
_cell_length_c 19.9642
_cell_angle_alpha 90.00
_cell_angle_beta 90.00
_cell_angle_gamma 90.00
_space_group_name_H-M_alt 'P 4 m m'
_space_group_IT_number 99
_space_group_name_Hall 'P 4 -2'
loop_
_atom_site_label
_atom_site_fract_x
_atom_site_fract_y
_atom_site_fract_z
Th1 0.0000 0.0000 0.0000
Th2 0.0000 0.0000 0.4819
Th3 0.5000 0.5000 0.2226
Th4 0.5000 0.5000 0.7289
Cu1 0.0000 0.0000 0.1770
Cu2 0.0000 0.0000 0.7952
Cu3 0.0000 0.5000 0.1183
Cu4 0.0000 0.5000 0.6003
Sn1 0.0000 0.0000 0.6690
Sn2 0.0000 0.5000 0.3513
Sn3 0.0000 0.5000 0.8708
Sn4 0.5000 0.5000 0.0405
Sn5 0.5000 0.5000 0.5224
```